Diffraction record for K2NaHg12Pd3. The XRD peak list is theoretical, not measured: it uses DFT lattice parameters and positions (PBE) and Cu Kα.
Peak positions follow from Bragg's law for the DFT cell and can differ from measured ones.

```
data_K2NaHg12Pd3
_space_group_name_H-M_alt 'R -3 m'
_space_group_IT_number 166
_space_group_name_Hall '-R 3 2"'
_cell_length_a 9.9215
_cell_length_b 9.9215
_cell_length_c 20.5408
_cell_angle_alpha 90.00
_cell_angle_beta 90.00
_cell_angle_gamma 120.00
loop_
_atom_site_label
_atom_site_type_symbol
_atom_site_fract_x
_atom_site_fract_y
_atom_site_fract_z
K1 K 0.0000 0.0000 0.0923
Na1 Na 0.0000 0.0000 0.5000
Hg1 Hg 0.0313 0.5157 0.8662
Hg2 Hg 0.0470 0.5235 0.3261
Pd1 Pd 0.0000 0.5000 0.0000
```

Principal peaks in the range 10 to 80 degrees two-theta, low angle first:
- 2θ = 17.88°, rel. 45.5, (1 1 0)
- 2θ = 21.13°, rel. 26.9, (0 2 1)
- 2θ = 26.03°, rel. 44.6, (0 0 6)
- 2θ = 27.06°, rel. 53.2, (0 2 4)
- 2θ = 28.83°, rel. 45.5, (1 2 2)
- 2θ = 30.10°, rel. 33.6, (2 0 5)
- 2θ = 32.62°, rel. 31.3, (2 1 4)
- 2θ = 36.22°, rel. 100.0, (2 2 0)
- 2θ = 45.14°, rel. 42.2, (2 2 6)
- 2θ = 54.65°, rel. 23.1, (2 2 9)